Record 1
Simulated X-ray diffraction stick pattern
Compound: Ho3Th2In3
Radiation: CuKα
Structure: a DFT-relaxed cell (GGA-PBE, Alexandria)

Top 12 peaks for 15 to 90 degrees two-theta, in order of rising 2θ:
two_theta, I/Imax, hkl
31.36, 27, 0 0 8
32.54, 28, 0 2 0
33.51, 100, 1 1 4
45.82, 19, 0 2 8
50.33, 8, 2 0 0
57.20, 18, 1 1 12
58.68, 20, 1 3 4
60.51, 8, 2 0 8
61.22, 9, 2 2 0
70.41, 11, 2 2 8
76.83, 8, 1 3 12
83.66, 8, 3 1 4

Structure:
Cell lengths 3.6259, 5.5033, 22.8218 Å; angles 90.00, 90.00, 90.00 degrees
Space group Immm (No. 71)
One atom of each set of equivalent atoms:
Ho  0.0000  0.0000  0.0000 [2 per cell]
Ho  0.0000  0.5000  0.1194 [4 per cell]
Th  0.0000  0.0000  0.2408 [4 per cell]
In  0.0000  0.0000  0.5000 [2 per cell]
In  0.0000  0.5000  0.3816 [4 per cell]

Record 2
Simulated X-ray diffraction stick pattern
Compound: Ho8Th2In
Radiation: CuKα
Structure: a DFT-relaxed cell (GGA-PBE, Alexandria)

Top 12 peaks for 15 to 90 degrees two-theta, in order of rising 2θ:
two_theta, I/Imax, hkl
31.30, 25, 5 1 -1
31.64, 58, 0 0 2
32.11, 86, 2 2 -1
32.26, 49, 5 1 1
32.52, 100, 6 0 -1
32.78, 52, 4 2 0
33.65, 28, 6 0 1
36.52, 23, 7 1 0
54.18, 17, 0 4 0
56.40, 25, 2 2 -3
57.36, 22, 8 2 -2
64.13, 18, 0 4 2

Structure:
Cell lengths 18.5093, 6.7712, 5.6596 Å; angles 90.00, 92.22, 90.00 degrees
Space group C2/m (No. 12)
One atom of each set of equivalent atoms:
Ho  0.0497  0.0000  0.2353 [4 per cell]
Ho  0.1251  0.2366  0.7457 [8 per cell]
Ho  0.1702  0.5000  0.2313 [4 per cell]
Th  0.2223  0.0000  0.2641 [4 per cell]
In  0.0000  0.5000  0.0000 [2 per cell]